# 1
Structure and theoretical X-ray powder pattern of Gd2Lu3Al3 (a PBE-relaxed structure; λ = 1.5418 Å (Cu Kα)).

Structural model:
a = 6.425 Å, b = 5.145 Å, c = 6.444 Å
α = 90.00°, β = 110.09°, γ = 90.00°
Sites, in units of the cell vectors:
1 Gd 0.000 0.000 0.000
2 Gd 0.281 0.500 0.775
3 Lu 0.501 0.000 0.518
4 Lu 0.744 0.500 0.210
5 Lu 0.986 0.000 0.491
6 Al 0.249 0.500 0.280
7 Al 0.514 0.000 0.031
8 Al 0.770 0.500 0.698

Principal peaks in the range 5° ≤ 2θ ≤ 70°, sorted by position:
d_spacing  2theta  I_rel
3.918  22.69  13
3.684  24.16  37
2.637  34.00  26
2.605  34.42  100
2.573  34.87  26
1.842  49.48  26
1.514  61.21  12
1.492  62.24  18

# 2
Structure and theoretical X-ray powder pattern of Gd2Lu5Al (a PBE-relaxed structure; λ = 1.5418 Å (Cu Kα)).

Structural model:
a = 5.440 Å, b = 6.935 Å, c = 6.935 Å
α = 59.92°, β = 90.00°, γ = 90.00°
Sites, in units of the cell vectors:
1 Gd 0.000 0.000 0.000
2 Gd 0.500 0.342 0.342
3 Lu 0.000 0.001 0.512
4 Lu 0.000 0.507 0.507
5 Lu 0.000 0.512 0.001
6 Lu 0.500 0.344 0.832
7 Lu 0.500 0.832 0.344
8 Al 0.500 0.835 0.835

Principal peaks in the range 5° ≤ 2θ ≤ 70°, sorted by position:
d_spacing  2theta  I_rel
3.002  29.77  25
2.720  32.93  24
2.628  34.12  100
2.016  44.97  16
1.734  52.80  13
1.552  59.56  20
1.462  63.67  22
1.447  64.40  16

# 3
Structure and theoretical X-ray powder pattern of Gd2MgAl3Ni2 (a PBE-relaxed structure; λ = 1.5418 Å (Cu Kα)).

Structural model:
a = 5.442 Å, b = 5.442 Å, c = 7.137 Å
α = 90.17°, β = 90.17°, γ = 44.61°
Sites, in units of the cell vectors:
1 Gd 0.000 0.000 0.000
2 Gd 0.121 0.121 0.512
3 Mg 0.715 0.715 0.200
4 Al 0.405 0.405 0.310
5 Al 0.406 0.406 0.694
6 Al 0.721 0.721 0.804
7 Ni 0.284 0.284 0.991
8 Ni 0.848 0.848 0.512

Principal peaks in the range 5° ≤ 2θ ≤ 70°, sorted by position:
d_spacing  2theta  I_rel
3.822  23.27  61
3.569  24.95  51
2.608  34.39  100
2.447  36.72  92
2.377  37.86  24
2.372  37.94  26
2.066  43.83  27
1.558  59.30  27

# 4
Structure and theoretical X-ray powder pattern of GdMg4AlPd2 (a PBE-relaxed structure; λ = 1.5418 Å (Cu Kα)).

Structural model:
a = 7.535 Å, b = 7.845 Å, c = 7.845 Å
α = 31.96°, β = 90.00°, γ = 90.00°
Sites, in units of the cell vectors:
1 Gd 0.000 0.000 0.000
2 Mg 0.221 0.349 0.349
3 Mg 0.317 0.552 0.552
4 Mg 0.683 0.552 0.552
5 Mg 0.779 0.349 0.349
6 Al 0.000 0.644 0.644
7 Pd 0.000 0.211 0.211
8 Pd 0.000 0.820 0.820

Principal peaks in the range 5° ≤ 2θ ≤ 70°, sorted by position:
d_spacing  2theta  I_rel
7.535  11.74  100
3.768  23.61  17
3.637  24.47  25
2.790  32.08  18
2.512  35.74  12
2.473  36.32  11
2.350  38.30  21
2.068  43.78  17

# 5
Structure and theoretical X-ray powder pattern of GdTm2Mg3Al2Zn (a PBE-relaxed structure; λ = 1.5418 Å (Cu Kα)).

Structural model:
a = 4.451 Å, b = 7.344 Å, c = 7.344 Å
α = 120.57°, β = 90.00°, γ = 90.00°
Sites, in units of the cell vectors:
1 Gd 0.000 0.000 0.000
2 Tm 0.000 0.158 0.580
3 Tm 0.000 0.580 0.158
4 Mg 0.500 0.337 0.337
5 Mg 0.500 0.578 0.819
6 Mg 0.500 0.819 0.578
7 Al 0.500 0.248 0.911
8 Al 0.500 0.911 0.248
9 Zn 0.000 0.573 0.573

Principal peaks in the range 5° ≤ 2θ ≤ 70°, sorted by position:
d_spacing  2theta  I_rel
4.451  19.95  83
3.672  24.24  38
3.162  28.23  51
2.832  31.59  81
2.818  31.76  43
2.592  34.60  49
2.578  34.81  100
2.225  40.54  36

# 6
Structure and theoretical X-ray powder pattern of NdGdAl4Pt2 (a PBE-relaxed structure; λ = 1.5418 Å (Cu Kα)).

Structural model:
a = 6.980 Å, b = 5.738 Å, c = 5.738 Å
α = 43.85°, β = 90.00°, γ = 90.00°
Sites, in units of the cell vectors:
1 Nd 0.000 0.000 0.000
2 Gd 0.500 0.865 0.865
3 Al 0.197 0.283 0.283
4 Al 0.306 0.584 0.584
5 Al 0.694 0.584 0.584
6 Al 0.803 0.283 0.283
7 Pt 0.000 0.719 0.719
8 Pt 0.500 0.145 0.145

Principal peaks in the range 5° ≤ 2θ ≤ 70°, sorted by position:
d_spacing  2theta  I_rel
3.975  22.37  40
3.490  25.52  58
3.454  25.79  30
2.623  34.19  52
2.545  35.27  100
2.487  36.12  52
1.772  51.59  31
1.623  56.72  29

# 7
Structure and theoretical X-ray powder pattern of Gd4Al23Ni6 (a PBE-relaxed structure; λ = 1.5418 Å (Cu Kα)).

Structural model:
a = 8.191 Å, b = 8.191 Å, c = 18.298 Å
α = 112.20°, β = 112.20°, γ = 28.87°
Sites, in units of the cell vectors:
1 Gd 0.072 0.072 0.406
2 Gd 0.234 0.234 0.781
3 Gd 0.766 0.766 0.219
4 Gd 0.928 0.928 0.594
5 Al 0.032 0.032 0.781
6 Al 0.066 0.066 0.940
7 Al 0.110 0.110 0.163
8 Al 0.123 0.123 0.595
9 Al 0.225 0.225 0.324
10 Al 0.244 0.244 0.953
11 Al 0.299 0.299 0.480
12 Al 0.356 0.356 0.143
13 Al 0.409 0.409 0.719
14 Al 0.410 0.410 0.949
15 Al 0.419 0.419 0.314
16 Al 0.500 0.500 0.500
17 Al 0.581 0.581 0.686
18 Al 0.590 0.590 0.051
19 Al 0.591 0.591 0.281
20 Al 0.644 0.644 0.857
21 Al 0.701 0.701 0.520
22 Al 0.756 0.756 0.047
23 Al 0.775 0.775 0.676
24 Al 0.877 0.877 0.405
25 Al 0.890 0.890 0.837
26 Al 0.934 0.934 0.060
27 Al 0.968 0.968 0.219
28 Ni 0.189 0.189 0.068
29 Ni 0.273 0.273 0.601
30 Ni 0.492 0.492 0.863
31 Ni 0.508 0.508 0.137
32 Ni 0.727 0.727 0.399
33 Ni 0.811 0.811 0.932

Principal peaks in the range 5° ≤ 2θ ≤ 70°, sorted by position:
d_spacing  2theta  I_rel
3.924  22.66  72
2.946  30.34  77
2.505  35.85  100
2.488  36.09  56
2.435  36.91  80
2.408  37.34  92
2.256  39.97  71
2.042  44.37  79

# 8
Structure and theoretical X-ray powder pattern of GdAl9Ni3 (a PBE-relaxed structure; λ = 1.5418 Å (Cu Kα)).

Structural model:
a = 10.079 Å, b = 10.079 Å, c = 10.079 Å
α = 42.42°, β = 42.42°, γ = 42.42°
Sites, in units of the cell vectors:
1 Gd 0.167 0.167 0.167
2 Gd 0.833 0.833 0.833
3 Al 0.000 0.334 0.666
4 Al 0.052 0.052 0.052
5 Al 0.102 0.761 0.432
6 Al 0.239 0.898 0.568
7 Al 0.282 0.282 0.282
8 Al 0.292 0.500 0.708
9 Al 0.334 0.666 0.000
10 Al 0.386 0.386 0.386
11 Al 0.432 0.102 0.761
12 Al 0.500 0.708 0.292
13 Al 0.568 0.239 0.898
14 Al 0.614 0.614 0.614
15 Al 0.666 0.000 0.334
16 Al 0.708 0.292 0.500
17 Al 0.718 0.718 0.718
18 Al 0.761 0.432 0.102
19 Al 0.898 0.568 0.239
20 Al 0.948 0.948 0.948
21 Ni 0.079 0.418 0.758
22 Ni 0.242 0.582 0.921
23 Ni 0.418 0.758 0.079
24 Ni 0.582 0.921 0.242
25 Ni 0.758 0.079 0.418
26 Ni 0.921 0.242 0.582

Principal peaks in the range 5° ≤ 2θ ≤ 70°, sorted by position:
d_spacing  2theta  I_rel
9.157  9.66  74
3.647  24.41  45
3.388  26.30  33
2.853  31.36  91
2.341  38.46  77
2.289  39.36  24
2.105  42.96  100
1.550  59.66  32

# 9
Structure and theoretical X-ray powder pattern of GdAlNiPd (a PBE-relaxed structure; λ = 1.5418 Å (Cu Kα)).

Structural model:
a = 4.266 Å, b = 4.266 Å, c = 9.171 Å
α = 90.00°, β = 90.00°, γ = 120.00°
Sites, in units of the cell vectors:
1 Gd 0.333 0.667 0.238
2 Gd 0.667 0.333 0.762
3 Al 0.000 0.000 0.000
4 Al 0.000 0.000 0.500
5 Ni 0.333 0.667 0.938
6 Ni 0.667 0.333 0.062
7 Pd 0.333 0.667 0.581
8 Pd 0.667 0.333 0.419

Principal peaks in the range 5° ≤ 2θ ≤ 70°, sorted by position:
d_spacing  2theta  I_rel
3.694  24.09  41
3.427  26.00  16
2.877  31.09  15
2.355  38.21  100
2.133  42.38  62
1.581  58.37  28
1.562  59.17  6
1.412  66.17  8

# 10
Structure and theoretical X-ray powder pattern of PrGdAlNi2 (a PBE-relaxed structure; λ = 1.5418 Å (Cu Kα)).

Structural model:
a = 5.486 Å, b = 5.486 Å, c = 5.486 Å
α = 134.52°, β = 120.20°, γ = 78.22°
Sites, in units of the cell vectors:
1 Pr 0.000 0.000 0.000
2 Gd 0.407 0.407 0.000
3 Al 0.703 0.203 0.500
4 Ni 0.438 0.704 0.734
5 Ni 0.969 0.704 0.266

Principal peaks in the range 5° ≤ 2θ ≤ 70°, sorted by position:
d_spacing  2theta  I_rel
3.352  26.60  75
2.633  34.05  100
2.359  38.16  49
2.301  39.15  50
2.219  40.66  43
2.121  42.63  33
1.559  59.27  43
1.368  68.60  44

# 11
Structure and theoretical X-ray powder pattern of PrGdAl2Ni4 (a PBE-relaxed structure; λ = 1.5418 Å (Cu Kα)).

Structural model:
a = 4.154 Å, b = 4.154 Å, c = 9.201 Å
α = 90.00°, β = 90.00°, γ = 120.00°
Sites, in units of the cell vectors:
1 Pr 0.000 0.000 0.000
2 Gd 0.667 0.333 0.500
3 Al 0.333 0.667 0.258
4 Al 0.333 0.667 0.742
5 Ni 0.000 0.000 0.316
6 Ni 0.000 0.000 0.684
7 Ni 0.667 0.333 0.200
8 Ni 0.667 0.333 0.800

Principal peaks in the range 5° ≤ 2θ ≤ 70°, sorted by position:
d_spacing  2theta  I_rel
3.597  24.75  39
3.350  26.61  40
2.834  31.57  9
2.334  38.58  100
2.300  39.16  11
2.077  43.58  64
1.551  59.59  27
1.541  60.02  19

# 12
Structure and theoretical X-ray powder pattern of Gd2Al4NiPt (a PBE-relaxed structure; λ = 1.5418 Å (Cu Kα)).

Structural model:
a = 6.938 Å, b = 5.620 Å, c = 5.620 Å
α = 43.53°, β = 90.00°, γ = 90.00°
Sites, in units of the cell vectors:
1 Gd 0.000 0.000 0.000
2 Gd 0.500 0.127 0.127
3 Al 0.204 0.721 0.721
4 Al 0.311 0.412 0.412
5 Al 0.689 0.412 0.412
6 Al 0.796 0.721 0.721
7 Ni 0.500 0.852 0.852
8 Pt 0.000 0.280 0.280

Principal peaks in the range 5° ≤ 2θ ≤ 70°, sorted by position:
d_spacing  2theta  I_rel
3.870  22.98  57
3.469  25.68  54
2.583  34.73  73
2.493  36.03  100
2.443  36.79  54
2.084  43.42  33
1.748  52.32  30
1.585  58.22  40

Number 9 is which compound?
GdAlNiPd

Please write out number 5 again, unchanged.
Structure and theoretical X-ray powder pattern of GdTm2Mg3Al2Zn (a PBE-relaxed structure; λ = 1.5418 Å (Cu Kα)).

Structural model:
a = 4.451 Å, b = 7.344 Å, c = 7.344 Å
α = 120.57°, β = 90.00°, γ = 90.00°
Sites, in units of the cell vectors:
1 Gd 0.000 0.000 0.000
2 Tm 0.000 0.158 0.580
3 Tm 0.000 0.580 0.158
4 Mg 0.500 0.337 0.337
5 Mg 0.500 0.578 0.819
6 Mg 0.500 0.819 0.578
7 Al 0.500 0.248 0.911
8 Al 0.500 0.911 0.248
9 Zn 0.000 0.573 0.573

Principal peaks in the range 5° ≤ 2θ ≤ 70°, sorted by position:
d_spacing  2theta  I_rel
4.451  19.95  83
3.672  24.24  38
3.162  28.23  51
2.832  31.59  81
2.818  31.76  43
2.592  34.60  49
2.578  34.81  100
2.225  40.54  36